This entry pairs a crystal structure of Eu2Al3O8 with its theoretical X-ray diffraction stick pattern. Radiation: a wavelength of 1.5418 Å. Structure: a cell relaxed with PBE.
Kinematic intensities with the Lorentz-polarization factor, no thermal factor.

Largest 8 diffraction maxima, sorted by position, 10° ≤ 2θ ≤ 80°:
d [Å]  2theta  intensity
6.357  13.93  30
3.670  24.25  100
2.843  31.47  62
2.403  37.43  20
2.119  42.67  45
1.641  56.03  28
1.589  58.03  17
1.542  60.00  17

Cell and atoms:
```
26
Lattice="-4.4952 4.4952 4.4952 4.4952 -4.4952 4.4952 4.4952 4.4952 -4.4952" Properties=species:S:1:pos:R:3 pbc="T T T"
Eu 3.1610 3.1610 -3.1610
Eu 3.1610 -3.1610 3.1610
Eu 1.3343 1.3343 1.3343
Eu -3.1610 3.1610 3.1610
Al 4.4952 2.2476 0.0000
Al 4.4952 0.0000 2.2476
Al 2.2476 4.4952 0.0000
Al 2.2476 0.0000 4.4952
Al 0.0000 4.4952 2.2476
Al 0.0000 2.2476 4.4952
O 0.9450 0.9450 -0.9450
O 0.9450 -0.9450 0.9450
O 5.2639 1.2494 -1.2494
O 5.2639 -1.2494 1.2494
O -0.9450 0.9450 0.9450
O 3.2458 3.2458 -0.7686
O 3.2458 -0.7686 3.2458
O 3.7266 1.2494 1.2494
O 1.2494 5.2639 -1.2494
O 1.2494 -1.2494 5.2639
O 1.2494 3.7266 1.2494
O 1.2494 1.2494 3.7266
O -0.7686 3.2458 3.2458
O -1.2494 5.2639 1.2494
O -1.2494 1.2494 5.2639
O 3.5503 3.5503 3.5503
```